This entry pairs a crystal structure of VCu3S4 with its simulated XRD peak list. Radiation: CuKα. Structure: DFT lattice parameters and positions (PBE).
No peak broadening, texture or thermal motion is included.

Structure:
Lattice parameters (Å, degrees): 5.409 5.409 5.409 90.00 90.00 90.00
Space group P-43m (No. 215)
Inequivalent atoms, fractional coordinates:
V  0.000  0.000  0.000 [1 per cell]
Cu  0.000  0.000  0.500 [3 per cell]
S  0.236  0.236  0.236 [4 per cell]

Main lines, in order of falling intensity (2θ from 10° to 80°):
(hkl), two_theta, d (Å), Rel. int.
1 0 0, 16.39, 5.409, 100
2 2 0, 47.55, 1.912, 99
1 1 1, 28.59, 3.123, 83
2 1 0, 37.17, 2.419, 34
3 1 1, 56.42, 1.631, 32
2 2 1, 50.63, 1.803, 21
2 0 0, 33.13, 2.704, 16
4 0 0, 69.52, 1.352, 14
3 2 0, 61.85, 1.500, 13
3 3 1, 76.82, 1.241, 12
4 1 0, 71.99, 1.312, 9
4 2 0, 79.20, 1.209, 5